Structure and computed powder diffraction line list of Ac5Ga5Ir2 (a DFT-relaxed cell (GGA-PBE, Alexandria); λ = 1.5418 Å (Cu Kα)).

```
data_Ac5Ga5Ir2
_space_group_name_H-M_alt 'C 1 2/m 1'
_space_group_IT_number 12
_cell_length_a 16.073
_cell_length_b 4.483
_cell_length_c 12.063
_cell_angle_alpha 90.00
_cell_angle_beta 129.24
_cell_angle_gamma 90.00
loop_
_space_group_symop_operation_xyz
'x,y,z'
'-x,-y,-z'
'-x,y,-z'
'x,-y,z'
'x+1/2,y+1/2,z'
'-x+1/2,-y+1/2,-z'
'-x+1/2,y+1/2,-z'
'x+1/2,-y+1/2,z'
loop_
_atom_site_label
_atom_site_fract_x
_atom_site_fract_y
_atom_site_fract_z
_atom_site_occupancy
Ac1 0.000 0.000 0.000 1
Ac2 0.123 0.500 0.826 1
Ac3 0.197 0.500 0.582 1
Ga1 0.000 0.000 0.500 1
Ga2 0.063 0.000 0.322 1
Ga3 0.208 0.500 0.159 1
Ir1 0.110 0.500 0.266 1
```

Top 12 peaks for 5° ≤ 2θ ≤ 70°, sorted by position:
hkl, two_theta, intensity
2 0 -1, 11.02, 30
3 1 -2, 26.50, 25
3 1 0, 29.33, 100
2 0 -4, 31.25, 51
1 1 2, 31.48, 36
1 1 -3, 31.85, 59
6 0 -2, 34.48, 64
5 1 -4, 37.83, 55
0 2 0, 40.23, 43
4 0 2, 44.00, 24
2 2 -4, 51.81, 30
6 2 -2, 53.98, 25

---

Structure and computed powder diffraction line list of Na17In11Ge (a DFT-relaxed cell (GGA-PBE, Alexandria); λ = 1.5418 Å (Cu Kα)).

```
data_Na17In11Ge
_space_group_name_H-M_alt 'C 1 m 1'
_space_group_IT_number 8
_cell_length_a 11.731
_cell_length_b 16.598
_cell_length_c 10.163
_cell_angle_alpha 90.00
_cell_angle_beta 125.18
_cell_angle_gamma 90.00
loop_
_space_group_symop_operation_xyz
'x,y,z'
'x,-y,z'
'x+1/2,y+1/2,z'
'x+1/2,-y+1/2,z'
loop_
_atom_site_label
_atom_site_fract_x
_atom_site_fract_y
_atom_site_fract_z
_atom_site_occupancy
Na1 0.000 0.000 0.000 1
Na2 0.003 0.000 0.652 1
Na3 0.019 0.295 0.311 1
Na4 0.054 0.362 0.999 1
Na5 0.101 0.500 0.274 1
Na6 0.206 0.205 0.686 1
Na7 0.313 0.000 0.717 1
Na8 0.329 0.328 0.000 1
Na9 0.345 0.348 0.403 1
Na10 0.352 0.000 0.345 1
Na11 0.436 0.155 0.588 1
In1 0.000 0.185 0.812 1
In2 0.086 0.091 0.362 1
In3 0.136 0.500 0.826 1
In4 0.189 0.185 0.186 1
In5 0.224 0.408 0.627 1
In6 0.280 0.092 0.998 1
Ge1 0.322 0.500 0.181 1
```

Top 12 peaks for 5° ≤ 2θ ≤ 70°, sorted by position:
hkl, two_theta, intensity
1 1 -1, 10.66, 22
1 1 1, 18.51, 100
0 4 0, 21.41, 11
4 0 -3, 32.36, 81
2 0 2, 35.88, 86
4 0 -4, 37.54, 12
5 1 -2, 39.13, 49
1 7 -2, 42.16, 13
0 6 3, 46.41, 15
5 5 -5, 55.34, 24
7 1 -2, 57.70, 21
6 6 -4, 58.87, 11

---

Structure and computed powder diffraction line list of Sr2Ge3AsPd4 (a DFT-relaxed cell (GGA-PBE, Alexandria); λ = 1.5418 Å (Cu Kα)).

```
data_Sr2Ge3AsPd4
_space_group_name_H-M_alt 'P -4 m 2'
_space_group_IT_number 115
_cell_length_a 4.467
_cell_length_b 4.467
_cell_length_c 10.221
_cell_angle_alpha 90.00
_cell_angle_beta 90.00
_cell_angle_gamma 90.00
loop_
_space_group_symop_operation_xyz
'x,y,z'
'y,-x,-z'
'-x,-y,z'
'-y,x,-z'
'-x,y,z'
'-y,-x,-z'
'x,-y,z'
'y,x,-z'
loop_
_atom_site_label
_atom_site_fract_x
_atom_site_fract_y
_atom_site_fract_z
_atom_site_occupancy
Sr1 0.000 0.500 0.246 1
Ge1 0.000 0.000 0.000 1
Ge2 0.000 0.500 0.621 1
As1 0.500 0.500 0.000 1
Pd1 0.000 0.000 0.500 1
Pd2 0.000 0.500 0.871 1
Pd3 0.500 0.500 0.500 1
```

Top 12 peaks for 5° ≤ 2θ ≤ 70°, sorted by position:
hkl, two_theta, intensity
0 0 2, 17.35, 15
1 1 0, 28.26, 8
1 0 3, 33.07, 63
1 1 2, 33.35, 100
2 0 0, 40.39, 81
1 1 4, 45.67, 42
1 0 5, 49.00, 22
2 1 3, 53.15, 32
2 2 0, 58.44, 27
1 1 6, 61.89, 15
2 1 5, 65.31, 18
3 1 2, 68.98, 23

---

Structure and computed powder diffraction line list of KNaPb2Cl6 (a DFT-relaxed cell (GGA-PBE, Alexandria); λ = 1.5418 Å (Cu Kα)).

```
data_KNaPb2Cl6
_space_group_name_H-M_alt 'R 3'
_space_group_IT_number 146
_space_group_name_Hall 'R 3'
_cell_length_a 7.5021
_cell_length_b 7.5021
_cell_length_c 19.7383
_cell_angle_alpha 90.00
_cell_angle_beta 90.00
_cell_angle_gamma 120.00
loop_
_atom_site_label
_atom_site_fract_x
_atom_site_fract_y
_atom_site_fract_z
_atom_site_occupancy
K1 0.0000 0.0000 0.0000 1
Na1 0.0000 0.0000 0.4890 1
Pb1 0.0000 0.0000 0.2875 1
Pb2 0.0000 0.0000 0.7932 1
Cl1 0.0007 0.3084 0.8845 1
Cl2 0.0329 0.6328 0.0543 1
```

Top 12 peaks for 5° ≤ 2θ ≤ 70°, sorted by position:
hkl, two_theta, intensity
0 1 2, 16.33, 100
1 0 4, 22.63, 56
1 1 0, 23.72, 41
1 1 3, 27.37, 14
2 0 2, 28.94, 17
0 2 4, 33.01, 33
2 -1 6, 36.32, 54
1 2 2, 37.75, 23
3 -1 4, 41.06, 30
3 0 0, 41.71, 28
3 1 2, 51.56, 13
4 -2 6, 56.48, 14

---

Structure and computed powder diffraction line list of Sr2Ru2O7 (a DFT-relaxed cell (GGA-PBE, Alexandria); λ = 1.5418 Å (Cu Kα)).

Unit cell a=10.530 b=10.530 c=10.530 alpha=90.00 beta=90.00 gamma=90.00
Space group Fd-3m (No. 227, origin choice 2)
One atom of each set of equivalent atoms:
Sr  0.000  0.000  0.000
Ru  0.000  0.000  0.500
O  0.064  0.375  0.875
O  0.125  0.125  0.125

Top 12 peaks for 5° ≤ 2θ ≤ 70°, sorted by position:
hkl, two_theta, intensity
1 1 1, 14.57, 4
3 1 1, 28.10, 2
2 2 2, 29.38, 100
4 0 0, 34.06, 31
3 3 1, 37.22, 1
4 2 2, 42.04, 1
3 3 3, 44.72, 2
4 4 0, 48.93, 45
6 2 0, 55.16, 1
6 2 2, 58.11, 42
4 4 4, 60.96, 11
7 3 1, 68.43, 1

---

Structure and computed powder diffraction line list of KNCl (a DFT-relaxed cell (GGA-PBE, Alexandria); λ = 1.5418 Å (Cu Kα)).

```
data_KNCl
_space_group_name_H-M_alt 'P -1'
_space_group_IT_number 2
_cell_length_a 5.605
_cell_length_b 5.611
_cell_length_c 6.300
_cell_angle_alpha 90.01
_cell_angle_beta 90.03
_cell_angle_gamma 119.85
loop_
_space_group_symop_operation_xyz
'x,y,z'
'-x,-y,-z'
loop_
_atom_site_label
_atom_site_fract_x
_atom_site_fract_y
_atom_site_fract_z
_atom_site_occupancy
K1 0.168 0.333 0.257 1
N1 0.500 0.002 0.088 1
Cl1 0.166 0.333 0.749 1
```

Top 12 peaks for 5° ≤ 2θ ≤ 70°, sorted by position:
hkl, two_theta, intensity
1 -1 0, 18.25, 30
1 0 1, 23.11, 11
0 0 2, 28.33, 28
1 1 0, 31.89, 100
1 -1 2, 33.91, 40
1 1 2, 43.14, 16
-1 2 2, 43.20, 31
0 2 -2, 47.20, 7
2 0 2, 47.27, 7
3 0 0, 56.78, 10
0 3 2, 64.65, 8
1 1 -4, 68.29, 10

---

Structure and computed powder diffraction line list of Tb3As2C (a DFT-relaxed cell (GGA-PBE, Alexandria); λ = 1.5418 Å (Cu Kα)).

```
data_Tb3As2C
_space_group_name_H-M_alt 'C m c m'
_space_group_IT_number 63
_space_group_name_Hall '-C 2c 2'
_cell_length_a 10.433
_cell_length_b 8.068
_cell_length_c 6.527
_cell_angle_alpha 90.00
_cell_angle_beta 90.00
_cell_angle_gamma 90.00
loop_
_atom_site_label
_atom_site_fract_x
_atom_site_fract_y
_atom_site_fract_z
_atom_site_occupancy
Tb1 0.000 0.140 0.250 1
Tb2 0.160 0.500 0.000 1
As1 0.144 0.184 0.750 1
C1 0.000 0.420 0.250 1
```

Top 12 peaks for 5° ≤ 2θ ≤ 70°, sorted by position:
hkl, two_theta, intensity
3 1 0, 27.94, 95
1 1 2, 30.77, 96
3 1 1, 31.18, 100
2 0 2, 32.36, 34
1 3 0, 34.43, 69
0 2 2, 35.38, 73
3 1 2, 39.48, 53
4 2 1, 43.59, 26
3 1 3, 50.78, 25
3 3 2, 51.26, 27
0 4 2, 53.39, 34
6 2 2, 65.04, 26

---

Structure and computed powder diffraction line list of NaCrI4 (a DFT-relaxed cell (GGA-PBE, Alexandria); λ = 1.5418 Å (Cu Kα)).

```
data_NaCrI4
_space_group_name_H-M_alt 'C 1 2/m 1'
_space_group_IT_number 12
_cell_length_a 16.436
_cell_length_b 4.142
_cell_length_c 7.863
_cell_angle_alpha 90.00
_cell_angle_beta 113.03
_cell_angle_gamma 90.00
loop_
_space_group_symop_operation_xyz
'x,y,z'
'-x,-y,-z'
'-x,y,-z'
'x,-y,z'
'x+1/2,y+1/2,z'
'-x+1/2,-y+1/2,-z'
'-x+1/2,y+1/2,-z'
'x+1/2,-y+1/2,z'
loop_
_atom_site_label
_atom_site_fract_x
_atom_site_fract_y
_atom_site_fract_z
_atom_site_occupancy
Na1 0.000 0.000 0.000 1
Cr1 0.000 0.500 0.500 1
I1 0.103 0.000 0.717 1
I2 0.107 0.500 0.306 1
```

Top 12 peaks for 5° ≤ 2θ ≤ 70°, sorted by position:
hkl, two_theta, intensity
2 0 0, 11.70, 57
0 0 1, 12.23, 35
4 0 0, 23.53, 35
1 1 -1, 24.31, 17
0 0 2, 24.60, 28
4 0 -2, 26.59, 100
3 1 -1, 27.53, 52
3 1 1, 33.30, 55
6 0 -2, 34.50, 18
3 1 -3, 40.88, 22
0 2 0, 43.71, 18
7 1 -1, 44.53, 31

---

Structure and computed powder diffraction line list of Ba2HfSb3O12 (a DFT-relaxed cell (GGA-PBE, Alexandria); λ = 1.5418 Å (Cu Kα)).

```
data_Ba2HfSb3O12
_space_group_name_H-M_alt 'R -3 m'
_space_group_IT_number 166
_space_group_name_Hall '-R 3 2"'
_cell_length_a 7.3496
_cell_length_b 7.3496
_cell_length_c 18.0948
_cell_angle_alpha 90.00
_cell_angle_beta 90.00
_cell_angle_gamma 120.00
loop_
_atom_site_label
_atom_site_fract_x
_atom_site_fract_y
_atom_site_fract_z
_atom_site_occupancy
Ba1 0.0000 0.0000 0.1231 1
Hf1 0.0000 0.0000 0.5000 1
Sb1 0.0000 0.5000 0.0000 1
O1 0.0554 0.5277 0.1074 1
O2 0.0595 0.5298 0.3561 1
```

Top 12 peaks for 5° ≤ 2θ ≤ 70°, sorted by position:
hkl, two_theta, intensity
1 0 1, 14.75, 16
1 1 0, 24.20, 20
0 1 5, 28.42, 100
0 2 1, 28.48, 21
0 0 6, 29.62, 11
2 0 2, 29.76, 36
3 0 3, 45.29, 33
2 0 8, 49.44, 24
2 2 0, 49.61, 25
3 1 5, 58.16, 12
0 4 2, 58.88, 15
2 3 5, 69.42, 17

---

Structure and computed powder diffraction line list of AlTc2Os (a DFT-relaxed cell (GGA-PBE, Alexandria); λ = 1.5418 Å (Cu Kα)).

```
data_AlTc2Os
_space_group_name_H-M_alt 'I m m 2'
_space_group_IT_number 44
_cell_length_a 2.996
_cell_length_b 4.374
_cell_length_c 8.682
_cell_angle_alpha 90.00
_cell_angle_beta 90.00
_cell_angle_gamma 90.00
loop_
_space_group_symop_operation_xyz
'x,y,z'
'-x,-y,z'
'-x,y,z'
'x,-y,z'
'x+1/2,y+1/2,z+1/2'
'-x+1/2,-y+1/2,z+1/2'
'-x+1/2,y+1/2,z+1/2'
'x+1/2,-y+1/2,z+1/2'
loop_
_atom_site_label
_atom_site_fract_x
_atom_site_fract_y
_atom_site_fract_z
_atom_site_occupancy
Al1 0.000 0.000 0.000 1
Tc1 0.000 0.000 0.500 1
Tc2 0.000 0.500 0.256 1
Os1 0.000 0.500 0.741 1
```

Top 12 peaks for 5° ≤ 2θ ≤ 70°, sorted by position:
hkl, two_theta, intensity
0 0 2, 20.46, 23
0 1 1, 22.76, 15
1 0 1, 31.59, 10
1 1 0, 36.34, 11
0 1 3, 37.25, 9
0 2 0, 41.28, 27
0 0 4, 41.61, 25
1 1 2, 42.06, 100
0 2 2, 46.49, 6
1 1 4, 56.41, 6
0 2 4, 60.05, 17
2 0 0, 61.94, 8

---

Structure and computed powder diffraction line list of Th2ZnCoAu (a DFT-relaxed cell (GGA-PBE, Alexandria); λ = 1.5418 Å (Cu Kα)).

```
data_Th2ZnCoAu
_space_group_name_H-M_alt 'P 1 21/m 1'
_space_group_IT_number 11
_cell_length_a 7.764
_cell_length_b 3.934
_cell_length_c 7.949
_cell_angle_alpha 90.00
_cell_angle_beta 113.59
_cell_angle_gamma 90.00
loop_
_space_group_symop_operation_xyz
'x,y,z'
'-x,-y,-z'
'-x,y+1/2,-z'
'x,-y+1/2,z'
loop_
_atom_site_label
_atom_site_fract_x
_atom_site_fract_y
_atom_site_fract_z
_atom_site_occupancy
Th1 0.009 0.250 0.219 1
Th2 0.355 0.750 0.615 1
Zn1 0.359 0.250 0.942 1
Co1 0.110 0.250 0.611 1
Au1 0.311 0.750 0.182 1
```

Top 12 peaks for 5° ≤ 2θ ≤ 70°, sorted by position:
hkl, two_theta, intensity
1 1 0, 25.88, 41
2 0 -2, 27.14, 31
1 1 1, 30.80, 29
1 0 2, 31.76, 52
2 1 -1, 32.48, 100
1 0 -3, 33.94, 74
2 1 -2, 35.60, 45
3 0 0, 37.94, 50
1 1 2, 39.34, 53
1 1 -3, 41.15, 47
0 2 0, 46.15, 43
3 2 0, 61.21, 29

---

Structure and computed powder diffraction line list of NaGdCdIr (a DFT-relaxed cell (GGA-PBE, Alexandria); λ = 1.5418 Å (Cu Kα)).

```
data_NaGdCdIr
_space_group_name_H-M_alt 'F -4 3 m'
_space_group_IT_number 216
_space_group_name_Hall 'F -4 2 3'
_cell_length_a 6.945
_cell_length_b 6.945
_cell_length_c 6.945
_cell_angle_alpha 90.00
_cell_angle_beta 90.00
_cell_angle_gamma 90.00
loop_
_atom_site_label
_atom_site_fract_x
_atom_site_fract_y
_atom_site_fract_z
_atom_site_occupancy
Na1 0.000 0.000 0.000 1
Gd1 0.250 0.250 0.250 1
Cd1 0.250 0.250 0.750 1
Ir1 0.000 0.000 0.500 1
```

Top 8 peaks for 5° ≤ 2θ ≤ 70°, sorted by position:
hkl, two_theta, intensity
1 1 1, 22.17, 29
2 0 0, 25.65, 2
2 2 0, 36.60, 100
3 1 1, 43.20, 16
4 0 0, 52.72, 17
3 3 1, 57.87, 7
4 2 0, 59.52, 1
4 2 2, 65.88, 35

---

Structure and computed powder diffraction line list of InPd8Pt6 (a DFT-relaxed cell (GGA-PBE, Alexandria); λ = 1.5418 Å (Cu Kα)).

```
data_InPd8Pt6
_space_group_name_H-M_alt 'R -3'
_space_group_IT_number 148
_space_group_name_Hall '-R 3'
_cell_length_a 6.8835
_cell_length_b 6.8835
_cell_length_c 17.9829
_cell_angle_alpha 90.00
_cell_angle_beta 90.00
_cell_angle_gamma 120.00
loop_
_atom_site_label
_atom_site_fract_x
_atom_site_fract_y
_atom_site_fract_z
_atom_site_occupancy
In1 0.0000 0.0000 0.0000 1
Pd1 0.0000 0.0000 0.1650 1
Pd2 0.0459 0.7853 0.5597 1
Pt1 0.0301 0.7841 0.7116 1
```

Top 12 peaks for 5° ≤ 2θ ≤ 70°, sorted by position:
hkl, two_theta, intensity
0 0 3, 14.78, 17
1 0 4, 24.80, 9
2 -1 3, 29.94, 9
1 0 7, 38.15, 33
2 0 5, 39.26, 23
1 1 6, 39.89, 69
3 -1 1, 40.34, 100
1 2 2, 41.31, 36
3 -2 5, 47.63, 19
0 3 6, 55.50, 9
4 -3 7, 67.35, 11
2 -1 12, 68.26, 9